Entry 1:
# Mn15Co2Os2
Calculated powder diffraction line list, copper Kα. Input: a structure optimized by DFT (PBE).
Kinematic intensities with the Lorentz-polarization factor, no thermal factor.

The 6 most intense peaks (2θ = 5–70°), by angle:
2theta, I (rel.), hkl
31.82, 48, 1 1 3
39.45, 50, 3 0 0
45.37, 26, 0 0 6
45.75, 100, 0 3 3
45.88, 59, 2 2 0
46.20, 39, 2 0 5

```
data_Mn15Co2Os2
_cell_length_a 7.9122
_cell_length_b 7.9122
_cell_length_c 11.9947
_cell_angle_alpha 90.00
_cell_angle_beta 90.00
_cell_angle_gamma 120.00
_symmetry_space_group_name_H-M 'R -3 m'
_symmetry_Int_Tables_number 166
_symmetry_space_group_name_Hall '-R 3 2"'
loop_
_atom_site_label
_atom_site_fract_x
_atom_site_fract_y
_atom_site_fract_z
_atom_site_occupancy
Mn1 0.0000 0.3003 0.0000 1
Mn2 0.0000 0.5000 0.5000 1
Mn3 0.0076 0.5038 0.1473 1
Co1 0.0000 0.0000 0.0991 1
Os1 0.0000 0.0000 0.3189 1
```

Entry 2:
# Cs5Nb2S4Cl9
Calculated powder diffraction line list, copper Kα. Input: a structure optimized by DFT (PBE).
Kinematic intensities with the Lorentz-polarization factor, no thermal factor.

The 6 most intense peaks (2θ = 5–70°), by angle:
2theta, I (rel.), hkl
19.89, 100, 1 0 3
21.25, 75, 1 2 1
23.76, 45, 2 0 0
31.17, 50, 2 2 2
32.17, 40, 0 0 6
37.09, 41, 2 1 5

```
data_Cs5Nb2S4Cl9
_cell_length_a 7.490
_cell_length_b 10.575
_cell_length_c 16.672
_cell_angle_alpha 90.00
_cell_angle_beta 90.00
_cell_angle_gamma 90.00
_symmetry_space_group_name_H-M 'I m m m'
_symmetry_Int_Tables_number 71
_symmetry_space_group_name_Hall '-I 2 2'
loop_
_atom_site_label
_atom_site_fract_x
_atom_site_fract_y
_atom_site_fract_z
_atom_site_occupancy
Cs1 0.000 0.000 0.000 1
Cs2 0.000 0.277 0.335 1
Nb1 0.000 0.500 0.088 1
S1 0.238 0.405 0.000 1
Cl1 0.000 0.257 0.128 1
Cl2 0.000 0.500 0.500 1
Cl3 0.233 0.500 0.200 1
```

Entry 3:
# K3CrSe4
Calculated powder diffraction line list, copper Kα. Input: a structure optimized by DFT (PBE).
Kinematic intensities with the Lorentz-polarization factor, no thermal factor.

The 6 most intense peaks (2θ = 5–70°), by angle:
2theta, I (rel.), hkl
15.35, 100, 1 1 1
28.97, 97, 0 1 3
29.48, 76, 3 0 1
30.79, 100, 2 3 0
32.18, 98, 2 3 1
37.51, 44, 2 2 3

```
data_K3CrSe4
_cell_length_a 9.575
_cell_length_b 10.956
_cell_length_c 9.636
_cell_angle_alpha 90.00
_cell_angle_beta 90.00
_cell_angle_gamma 90.00
_symmetry_space_group_name_H-M 'P n m a'
_symmetry_Int_Tables_number 62
loop_
_symmetry_equiv_pos_as_xyz
'x,y,z'
'-x,-y,-z'
'-x+1/2,-y,z+1/2'
'x+1/2,y,-z+1/2'
'x+1/2,-y+1/2,-z+1/2'
'-x+1/2,y+1/2,z+1/2'
'-x,y+1/2,-z'
'x,-y+1/2,z'
loop_
_atom_site_label
_atom_site_fract_x
_atom_site_fract_y
_atom_site_fract_z
_atom_site_occupancy
K1 0.051 0.046 0.203 1
K2 0.138 0.750 0.415 1
Cr1 0.219 0.750 0.985 1
Se1 0.001 0.750 0.081 1
Se2 0.165 0.079 0.549 1
Se3 0.199 0.750 0.750 1
```

Entry 4:
# Mn3HgBr8
Calculated powder diffraction line list, copper Kα. Input: a structure optimized by DFT (PBE).
Kinematic intensities with the Lorentz-polarization factor, no thermal factor.

The 6 most intense peaks (2θ = 5–70°), by angle:
2theta, I (rel.), hkl
12.87, 97, 0 0 1
26.38, 25, 4 0 -1
31.25, 100, 2 2 -2
31.56, 50, 4 0 0
44.12, 35, 2 2 2
45.89, 52, 0 4 0

```
data_Mn3HgBr8
_cell_length_a 13.709
_cell_length_b 7.907
_cell_length_c 8.313
_cell_angle_alpha 90.00
_cell_angle_beta 124.19
_cell_angle_gamma 90.00
_symmetry_space_group_name_H-M 'C 1 2/m 1'
_symmetry_Int_Tables_number 12
loop_
_symmetry_equiv_pos_as_xyz
'x,y,z'
'-x,-y,-z'
'-x,y,-z'
'x,-y,z'
'x+1/2,y+1/2,z'
'-x+1/2,-y+1/2,-z'
'-x+1/2,y+1/2,-z'
'x+1/2,-y+1/2,z'
loop_
_atom_site_label
_atom_site_fract_x
_atom_site_fract_y
_atom_site_fract_z
_atom_site_occupancy
Mn1 0.000 0.000 0.000 1
Mn2 0.250 0.250 0.000 1
Hg1 0.000 0.500 0.000 1
Br1 0.011 0.239 0.776 1
Br2 0.241 0.000 0.217 1
Br3 0.249 0.000 0.776 1
```

Entry 5:
# NbCr3Ag2S8
Calculated powder diffraction line list, copper Kα. Input: a structure optimized by DFT (PBE).
Kinematic intensities with the Lorentz-polarization factor, no thermal factor.

The 6 most intense peaks (2θ = 5–70°), by angle:
2theta, I (rel.), hkl
26.67, 91, 0 2 3
33.31, 42, 1 2 2
34.95, 100, 1 3 1
37.34, 55, 1 3 2
46.54, 46, 1 1 5
51.46, 30, 1 3 5

```
data_NbCr3Ag2S8
_cell_length_a 3.466
_cell_length_b 12.088
_cell_length_c 12.037
_cell_angle_alpha 90.00
_cell_angle_beta 90.00
_cell_angle_gamma 90.00
_symmetry_space_group_name_H-M 'P m n 21'
_symmetry_Int_Tables_number 31
loop_
_symmetry_equiv_pos_as_xyz
'x,y,z'
'-x+1/2,-y,z+1/2'
'-x,y,z'
'x+1/2,-y,z+1/2'
loop_
_atom_site_label
_atom_site_fract_x
_atom_site_fract_y
_atom_site_fract_z
_atom_site_occupancy
Nb1 0.000 0.089 0.000 1
Cr1 0.000 0.155 0.362 1
Cr2 0.000 0.583 0.076 1
Cr3 0.000 0.647 0.705 1
Ag1 0.000 0.385 0.870 1
Ag2 0.000 0.861 0.192 1
S1 0.000 0.057 0.539 1
S2 0.000 0.212 0.165 1
S3 0.000 0.315 0.665 1
S4 0.000 0.476 0.242 1
S5 0.000 0.550 0.528 1
S6 0.000 0.711 0.900 1
S7 0.000 0.808 0.401 1
S8 0.000 0.973 0.820 1
```

Entry 6:
# Cs3Ge4Au
Calculated powder diffraction line list, copper Kα. Input: a structure optimized by DFT (PBE).
Kinematic intensities with the Lorentz-polarization factor, no thermal factor.

The 6 most intense peaks (2θ = 5–70°), by angle:
2theta, I (rel.), hkl
13.32, 66, 0 2 0
13.85, 86, 1 1 0
24.40, 98, 2 0 0
26.82, 68, 0 4 0
31.43, 100, 2 2 1
32.90, 85, 1 4 1

```
data_Cs3Ge4Au
_cell_length_a 7.296
_cell_length_b 13.297
_cell_length_c 6.245
_cell_angle_alpha 90.00
_cell_angle_beta 90.00
_cell_angle_gamma 90.00
_symmetry_space_group_name_H-M 'P m m n'
_symmetry_Int_Tables_number 59
loop_
_symmetry_equiv_pos_as_xyz
'x,y,z'
'-x,-y,-z'
'-x+1/2,-y+1/2,z'
'x+1/2,y+1/2,-z'
'x+1/2,-y,-z'
'-x+1/2,y,z'
'-x,y+1/2,-z'
'x,-y+1/2,z'
loop_
_atom_site_label
_atom_site_fract_x
_atom_site_fract_y
_atom_site_fract_z
_atom_site_occupancy
Cs1 0.250 0.015 0.161 1
Cs2 0.250 0.250 0.570 1
Ge1 0.061 0.750 0.937 1
Ge2 0.250 0.645 0.667 1
Au1 0.250 0.750 0.304 1
```

Entry 7:
# Pm6CuHg
Calculated powder diffraction line list, copper Kα. Input: a structure optimized by DFT (PBE).
Kinematic intensities with the Lorentz-polarization factor, no thermal factor.

The 6 most intense peaks (2θ = 5–70°), by angle:
2theta, I (rel.), hkl
31.59, 100, 1 1 4
34.43, 45, 2 0 0
40.73, 8, 0 0 8
49.49, 17, 2 2 0
54.37, 15, 2 0 8
59.91, 32, 3 1 4

```
data_Pm6CuHg
_cell_length_a 5.209
_cell_length_b 5.209
_cell_length_c 17.721
_cell_angle_alpha 90.00
_cell_angle_beta 90.00
_cell_angle_gamma 90.00
_symmetry_space_group_name_H-M 'I 4/m m m'
_symmetry_Int_Tables_number 139
_symmetry_space_group_name_Hall '-I 4 2'
loop_
_atom_site_label
_atom_site_fract_x
_atom_site_fract_y
_atom_site_fract_z
_atom_site_occupancy
Pm1 0.000 0.000 0.249 1
Pm2 0.000 0.500 0.105 1
Cu1 0.000 0.000 0.500 1
Hg1 0.000 0.000 0.000 1
```

Entry 8:
# PrTc2PbO8
Calculated powder diffraction line list, copper Kα. Input: a structure optimized by DFT (PBE).
Kinematic intensities with the Lorentz-polarization factor, no thermal factor.

The 6 most intense peaks (2θ = 5–70°), by angle:
2theta, I (rel.), hkl
16.92, 70, 1 0 0
20.89, 55, 1 0 1
29.53, 95, 1 1 0
29.88, 100, 1 0 2
42.51, 53, 0 2 2
52.61, 43, 2 1 2

```
data_PrTc2PbO8
_cell_length_a 6.0498
_cell_length_b 6.0498
_cell_length_c 7.2826
_cell_angle_alpha 90.00
_cell_angle_beta 90.00
_cell_angle_gamma 120.00
_symmetry_space_group_name_H-M 'P -3 m 1'
_symmetry_Int_Tables_number 164
_symmetry_space_group_name_Hall '-P 3 2"'
loop_
_atom_site_label
_atom_site_fract_x
_atom_site_fract_y
_atom_site_fract_z
_atom_site_occupancy
Pr1 0.0000 0.0000 0.0000 1
Tc1 0.3333 0.6667 0.2998 1
Pb1 0.0000 0.0000 0.5000 1
O1 0.1668 0.3336 0.2224 1
O2 0.3333 0.6667 0.5410 1
```

Entry 9:
# RbBaNaBr4
Calculated powder diffraction line list, copper Kα. Input: a structure optimized by DFT (PBE).
Kinematic intensities with the Lorentz-polarization factor, no thermal factor.

The 6 most intense peaks (2θ = 5–70°), by angle:
2theta, I (rel.), hkl
24.88, 40, 0 2 2
25.60, 37, 2 2 0
30.80, 100, 0 4 2
31.43, 49, 2 4 0
32.72, 95, 2 0 2
45.92, 46, 2 6 2

```
data_RbBaNaBr4
_cell_length_a 7.613
_cell_length_b 17.150
_cell_length_c 7.875
_cell_angle_alpha 90.00
_cell_angle_beta 90.00
_cell_angle_gamma 90.00
_symmetry_space_group_name_H-M 'C m c m'
_symmetry_Int_Tables_number 63
_symmetry_space_group_name_Hall '-C 2c 2'
loop_
_atom_site_label
_atom_site_fract_x
_atom_site_fract_y
_atom_site_fract_z
_atom_site_occupancy
Rb1 0.000 0.109 0.250 1
Ba1 0.000 0.374 0.250 1
Na1 0.000 0.252 0.750 1
Br1 0.000 0.081 0.750 1
Br2 0.000 0.438 0.750 1
Br3 0.250 0.250 0.000 1
```

Entry 10:
# NdAl2GaRu2
Calculated powder diffraction line list, copper Kα. Input: a structure optimized by DFT (PBE).
Kinematic intensities with the Lorentz-polarization factor, no thermal factor.

The 6 most intense peaks (2θ = 5–70°), by angle:
2theta, I (rel.), hkl
19.45, 57, 1 0 0
31.35, 47, 0 0 2
31.86, 100, 1 1 1
37.16, 64, 1 0 2
39.50, 83, 2 0 0
51.27, 46, 2 0 2

```
data_NdAl2GaRu2
_cell_length_a 4.563
_cell_length_b 4.563
_cell_length_c 5.707
_cell_angle_alpha 90.00
_cell_angle_beta 90.00
_cell_angle_gamma 90.00
_symmetry_space_group_name_H-M 'P 4/m m m'
_symmetry_Int_Tables_number 123
_symmetry_space_group_name_Hall '-P 4 2'
loop_
_atom_site_label
_atom_site_fract_x
_atom_site_fract_y
_atom_site_fract_z
_atom_site_occupancy
Nd1 0.000 0.000 0.000 1
Al1 0.500 0.500 0.252 1
Ga1 0.000 0.000 0.500 1
Ru1 0.000 0.500 0.500 1
```

Entry 11:
# ErNbFe
Calculated powder diffraction line list, copper Kα. Input: a structure optimized by DFT (PBE).
Kinematic intensities with the Lorentz-polarization factor, no thermal factor.

The 6 most intense peaks (2θ = 5–70°), by angle:
2theta, I (rel.), hkl
33.69, 100, 1 3 1
37.39, 74, 1 4 0
38.86, 36, 2 0 0
42.48, 22, 0 1 3
58.94, 25, 2 1 3
62.79, 14, 1 5 3

```
data_ErNbFe
_cell_length_a 4.635
_cell_length_b 11.238
_cell_length_c 6.506
_cell_angle_alpha 90.00
_cell_angle_beta 90.00
_cell_angle_gamma 90.00
_symmetry_space_group_name_H-M 'A m m 2'
_symmetry_Int_Tables_number 38
loop_
_symmetry_equiv_pos_as_xyz
'x,y,z'
'-x,-y,z'
'-x,y,z'
'x,-y,z'
'x,y+1/2,z+1/2'
'-x,-y+1/2,z+1/2'
'-x,y+1/2,z+1/2'
'x,-y+1/2,z+1/2'
loop_
_atom_site_label
_atom_site_fract_x
_atom_site_fract_y
_atom_site_fract_z
_atom_site_occupancy
Er1 0.000 0.000 0.000 1
Er2 0.000 0.207 0.622 1
Nb1 0.500 0.000 0.672 1
Nb2 0.500 0.129 0.286 1
Fe1 0.000 0.000 0.414 1
Fe2 0.500 0.166 0.915 1
```

Entry 12:
# Tb7Fe2Te2
Calculated powder diffraction line list, copper Kα. Input: a structure optimized by DFT (PBE).
Kinematic intensities with the Lorentz-polarization factor, no thermal factor.

The 6 most intense peaks (2θ = 5–70°), by angle:
2theta, I (rel.), hkl
30.20, 53, 1 1 2
33.12, 79, 0 3 3
33.57, 100, 1 4 1
34.27, 56, 1 3 2
46.44, 31, 2 0 0
58.22, 32, 2 3 3

```
data_Tb7Fe2Te2
_cell_length_a 3.911
_cell_length_b 15.845
_cell_length_c 9.447
_cell_angle_alpha 90.00
_cell_angle_beta 90.00
_cell_angle_gamma 90.00
_symmetry_space_group_name_H-M 'I m m 2'
_symmetry_Int_Tables_number 44
loop_
_symmetry_equiv_pos_as_xyz
'x,y,z'
'-x,-y,z'
'-x,y,z'
'x,-y,z'
'x+1/2,y+1/2,z+1/2'
'-x+1/2,-y+1/2,z+1/2'
'-x+1/2,y+1/2,z+1/2'
'x+1/2,-y+1/2,z+1/2'
loop_
_atom_site_label
_atom_site_fract_x
_atom_site_fract_y
_atom_site_fract_z
_atom_site_occupancy
Tb1 0.000 0.000 0.000 1
Tb2 0.000 0.134 0.418 1
Tb3 0.000 0.315 0.623 1
Tb4 0.000 0.350 0.264 1
Fe1 0.000 0.238 0.933 1
Te1 0.000 0.000 0.667 1
Te2 0.000 0.500 0.765 1
```